# 1
Computed PXRD pattern of KAs4H3O12 for a wavelength of 1.5418 Å, from a DFT-relaxed cell (PBE, the Materials Project).
Intensities are scaled so that the largest is 100.

Peak list (10 most intense, 10 to 80 degrees two-theta, by angle)
d_spacing	I_rel	(hkl)
6.875	100	0 0 1
6.420	16	0 1 0
6.268	36	0 1 1
4.048	20	1 1 0
3.838	61	1 0 -1
3.574	34	0 2 1
3.381	27	1 1 2
3.249	32	1 -1 1
2.532	18	2 1 1
2.304	18	1 -2 1

Atomic structure:
Cell: 5.249 7.185 7.796 Å, 63.34 79.22 84.47°
Space group P1 (No. 1)
One atom of each set of equivalent atoms:
K1 0.000 0.000 0.000 (multiplicity 1)
As1 0.152 0.330 0.310 (multiplicity 1)
As2 0.401 0.885 0.428 (multiplicity 1)
As3 0.592 0.129 0.568 (multiplicity 1)
As4 0.837 0.690 0.679 (multiplicity 1)
H1 0.490 0.344 0.718 (multiplicity 1)
H2 0.505 0.665 0.283 (multiplicity 1)
H3 0.968 0.499 0.981 (multiplicity 1)
O1 0.096 0.540 0.107 (multiplicity 1)
O2 0.111 0.715 0.506 (multiplicity 1)
O3 0.227 0.116 0.257 (multiplicity 1)
O4 0.306 0.966 0.625 (multiplicity 1)
O5 0.416 0.374 0.395 (multiplicity 1)
O6 0.483 0.190 0.770 (multiplicity 1)
O7 0.510 0.819 0.230 (multiplicity 1)
O8 0.578 0.635 0.602 (multiplicity 1)
O9 0.694 0.039 0.377 (multiplicity 1)
O10 0.769 0.893 0.745 (multiplicity 1)
O11 0.875 0.467 0.887 (multiplicity 1)
O12 0.887 0.289 0.499 (multiplicity 1)

=====

# 2
Computed PXRD pattern of LiAs3H2O9 for a wavelength of 1.5418 Å, from a DFT-relaxed cell (PBE, the Materials Project).
Intensities are scaled so that the largest is 100.

Peak list (10 most intense, 10 to 80 degrees two-theta, by angle)
d_spacing	I_rel	(hkl)
8.615	81	1 0 0
6.305	60	0 1 1
6.175	100	1 1 -1
4.408	59	0 2 0
4.302	89	2 0 0
4.016	74	0 1 2
3.231	24	3 0 -2
3.087	27	2 2 -2
2.347	28	3 1 -4
2.134	25	1 4 -1

Atomic structure:
Cell: 9.840 8.815 10.304 Å, 90.00 118.89 90.00°
Space group P2_1/c (No. 14)
One atom of each set of equivalent atoms:
Li1 0.125 0.106 0.008 (multiplicity 4)
As1 0.096 0.737 0.359 (multiplicity 4)
As2 0.421 0.620 0.406 (multiplicity 4)
As3 0.430 0.183 0.756 (multiplicity 4)
H1 0.160 0.236 0.787 (multiplicity 4)
H2 0.238 0.582 0.031 (multiplicity 4)
O1 0.067 0.614 0.465 (multiplicity 4)
O2 0.071 0.222 0.809 (multiplicity 4)
O3 0.150 0.578 0.930 (multiplicity 4)
O4 0.215 0.669 0.289 (multiplicity 4)
O5 0.262 0.224 0.195 (multiplicity 4)
O6 0.375 0.060 0.972 (multiplicity 4)
O7 0.408 0.517 0.239 (multiplicity 4)
O8 0.423 0.729 0.565 (multiplicity 4)
O9 0.480 0.702 0.853 (multiplicity 4)

=====

# 3
Computed PXRD pattern of LiAsH2O4 for a wavelength of 1.5418 Å, from a DFT-relaxed cell (PBE, the Materials Project).
Intensities are scaled so that the largest is 100.

Peak list (10 most intense, 10 to 80 degrees two-theta, by angle)
d_spacing	I_rel	(hkl)
5.369	22	0 1 1
4.163	100	1 1 1
3.682	18	0 0 2
3.371	24	1 2 0
3.008	13	2 0 1
2.808	10	2 1 1
2.685	12	0 2 2
2.464	8	0 3 1
2.207	11	1 1 3
1.974	8	2 3 1

Atomic structure:
Cell: 6.590 7.846 7.363 Å, 90.00 90.00 90.00°
Space group Pna2_1 (No. 33)
One atom of each set of equivalent atoms:
Li1 0.019 0.212 0.000 (multiplicity 4)
As1 0.197 0.581 0.827 (multiplicity 4)
H1 0.010 0.871 0.944 (multiplicity 4)
H2 0.019 0.365 0.671 (multiplicity 4)
O1 0.063 0.016 0.406 (multiplicity 4)
O2 0.074 0.691 0.992 (multiplicity 4)
O3 0.081 0.380 0.800 (multiplicity 4)
O4 0.218 0.688 0.630 (multiplicity 4)

=====

# 4
Computed PXRD pattern of LiAs2H3O7 for a wavelength of 1.5418 Å, from a DFT-relaxed cell (PBE, the Materials Project).
Intensities are scaled so that the largest is 100.

Peak list (10 most intense, 10 to 80 degrees two-theta, by angle)
d_spacing	I_rel	(hkl)
7.016	42	1 1 0
4.865	100	2 0 -1
3.508	38	2 2 0
3.476	40	0 2 1
3.066	22	2 0 1
2.571	10	0 0 2
2.407	10	3 3 -1
2.216	10	1 1 2
2.154	10	2 4 0
1.829	9	4 4 -1

Atomic structure:
Cell: 11.604 9.451 5.698 Å, 90.00 115.54 90.00°
Space group C2/m (No. 12)
One atom of each set of equivalent atoms:
Li1 0.000 0.152 0.000 (multiplicity 4)
As1 0.000 0.350 0.500 (multiplicity 4)
As2 0.231 0.500 0.951 (multiplicity 4)
H1 0.127 0.155 0.503 (multiplicity 8)
H2 0.192 0.500 0.323 (multiplicity 4)
O1 0.073 0.222 0.367 (multiplicity 8)
O2 0.077 0.500 0.408 (multiplicity 4)
O3 0.133 0.000 0.078 (multiplicity 4)
O4 0.139 0.347 0.837 (multiplicity 8)
O5 0.228 0.000 0.712 (multiplicity 4)